[1]
The following is a computed X-ray powder pattern of Hf4ZrO. It was derived from a crystal structure in Alexandria, relaxed with PBE, using Cu Kα X-rays.

Peak list (12 most intense, 10 to 90 degrees two-theta, in order of rising 2θ)
2θ (°)	Rel. int.
33.1	49
33.5	31
33.8	12
35.1	11
35.4	60
35.6	100
41.0	41
42.9	12
55.3	15
55.5	10
63.2	17
65.2	14

Structural model:
Cell lengths 6.075, 6.075, 7.972 Å; angles 97.64, 97.64, 123.57 degrees
Sites, in units of the cell vectors:
Hf1 0.016 0.257 0.445
Hf2 0.131 0.467 0.846
Hf3 0.257 0.016 0.945
Hf4 0.467 0.131 0.346
Hf5 0.533 0.869 0.654
Hf6 0.743 0.984 0.055
Hf7 0.869 0.533 0.154
Hf8 0.984 0.743 0.555
Zr1 0.412 0.588 0.250
Zr2 0.588 0.412 0.750
O1 0.034 0.966 0.250
O2 0.966 0.034 0.750



[2]
The following is a computed X-ray powder pattern of Sr4Tb3YTe8. It was derived from a crystal structure in Alexandria, relaxed with PBE, using Cu Kα X-rays.

Peak list (12 most intense, 10 to 90 degrees two-theta, in order of rising 2θ)
2θ (°)	Rel. int.
11.7	7
27.8	100
39.3	38
40.1	38
48.2	7
49.5	20
57.5	12
64.5	16
65.6	17
70.8	6
72.4	12
72.9	6

Structural model:
Cell lengths 9.163, 9.163, 9.163 Å; angles 58.72, 58.72, 58.72 degrees
Sites, in units of the cell vectors:
Sr1 0.000 0.000 0.000
Sr2 0.000 0.500 0.500
Sr3 0.500 0.000 0.500
Sr4 0.500 0.500 0.000
Tb1 0.000 0.000 0.500
Tb2 0.000 0.500 0.000
Tb3 0.500 0.000 0.000
Y1 0.500 0.500 0.500
Te1 0.244 0.244 0.244
Te2 0.245 0.744 0.744
Te3 0.256 0.256 0.755
Te4 0.256 0.755 0.256
Te5 0.744 0.245 0.744
Te6 0.744 0.744 0.245
Te7 0.755 0.256 0.256
Te8 0.756 0.756 0.756